The following is a computed powder X-ray diffraction pattern of TaNb5Sn2. It was derived from the PBE geometry in OQMD, using Cu Kα (λ = 1.5418 Å).
No peak broadening, texture or thermal motion is included.

Top 10 peaks for 5 to 70 degrees two-theta, low angle first:
2θ = 33.82°, I = 49, (2 0 0); 2θ = 37.62°, I = 58, (1 0 2); 2θ = 37.92°, I = 100, (2 1 0); 2θ = 41.43°, I = 58, (1 1 2); 2θ = 41.66°, I = 80, (2 1 1); 2θ = 63.02°, I = 14, (3 0 2); 2θ = 63.24°, I = 12, (3 2 0); 2θ = 65.43°, I = 21, (2 1 3); 2θ = 65.70°, I = 28, (3 1 2); 2θ = 65.87°, I = 22, (3 2 1)

Crystal structure
Cell lengths 5.301, 5.301, 5.358 Å; angles 90.00, 90.00, 90.00 degrees
Atoms (fractional coordinates):
Ta 0.000 0.000 0.000
Nb 0.000 0.000 0.500
Nb 0.246 0.500 0.751
Nb 0.500 0.246 0.249
Nb 0.500 0.754 0.249
Nb 0.754 0.500 0.751
Sn 0.000 0.500 0.251
Sn 0.500 0.000 0.749


The following is a computed powder X-ray diffraction pattern of DyYCl2O2. It was derived from the PBE geometry in OQMD, using Cu Kα (λ = 1.5418 Å).
No peak broadening, texture or thermal motion is included.

Top 10 peaks for 5 to 70 degrees two-theta, low angle first:
2θ = 13.21°, I = 45, (0 0 1); 2θ = 26.48°, I = 68, (1 0 1); 2θ = 32.53°, I = 59, (1 1 0); 2θ = 35.33°, I = 100, (1 0 2); 2θ = 42.50°, I = 21, (1 1 2); 2θ = 46.67°, I = 31, (2 0 0); 2θ = 52.77°, I = 19, (1 1 3); 2θ = 54.47°, I = 25, (2 1 1); 2θ = 59.87°, I = 39, (2 1 2); 2θ = 60.11°, I = 13, (1 0 4)

Crystal structure
Cell lengths 3.892, 3.892, 6.703 Å; angles 90.00, 90.00, 90.00 degrees
Atoms (fractional coordinates):
Dy 0.000 0.000 0.000
Y 0.500 0.500 0.337
Cl 0.000 0.000 0.539
Cl 0.500 0.500 0.798
O 0.000 0.500 0.168
O 0.500 0.000 0.168


The following is a computed powder X-ray diffraction pattern of Tl2NiBr6. It was derived from the PBE geometry in OQMD, using Cu Kα (λ = 1.5418 Å).
No peak broadening, texture or thermal motion is included.

Top 10 peaks for 5 to 70 degrees two-theta, low angle first:
2θ = 24.21°, I = 24, (1 1 2); 2θ = 25.10°, I = 13, (2 0 0); 2θ = 30.14°, I = 100, (2 0 2); 2θ = 33.17°, I = 27, (0 0 4); 2θ = 35.80°, I = 41, (2 2 0); 2θ = 43.69°, I = 14, (3 1 2); 2θ = 49.60°, I = 30, (2 2 4); 2θ = 57.39°, I = 14, (2 0 6); 2θ = 60.86°, I = 21, (4 2 2); 2θ = 62.66°, I = 13, (4 0 4)

Crystal structure
Cell lengths 7.094, 7.094, 10.804 Å; angles 90.00, 90.00, 90.00 degrees
Atoms (fractional coordinates):
Tl 0.000 0.500 0.250
Tl 0.000 0.500 0.750
Tl 0.500 0.000 0.250
Tl 0.500 0.000 0.750
Ni 0.000 0.000 0.000
Ni 0.500 0.500 0.500
Br 0.000 0.000 0.224
Br 0.000 0.000 0.776
Br 0.208 0.270 0.000
Br 0.230 0.292 0.500
Br 0.270 0.792 0.000
Br 0.292 0.770 0.500
Br 0.500 0.500 0.276
Br 0.500 0.500 0.724
Br 0.708 0.230 0.500
Br 0.730 0.208 0.000
Br 0.770 0.708 0.500
Br 0.792 0.730 0.000